The following is a simulated XRD peak list of NaNb2WO8. It was derived from a structure optimized by DFT (GGA+U), using Cu Ka.
No peak broadening, texture or thermal motion is included.

Top 10 peaks for 2θ = 15–90°, in order of rising 2θ:
| Position (°2θ) | I/Imax | hkl |
| --- | --- | --- |
| 22.88 | 44 | 1 0 -1 |
| 23.01 | 35 | 0 1 1 |
| 25.45 | 100 | 1 -1 0 |
| 26.46 | 90 | 1 1 0 |
| 33.33 | 39 | 1 0 -2 |
| 33.53 | 73 | 0 1 -2 |
| 33.77 | 36 | 1 0 2 |
| 37.04 | 35 | 2 0 0 |
| 51.10 | 29 | 2 1 -2 |
| 54.47 | 23 | 2 2 0 |

Lattice parameters (Å, degrees): 4.8532 4.8628 6.4017 90.13 90.79 92.18
Fractional positions:
Na 0.0000 0.0000 0.0000
Nb 0.4794 0.5325 0.7570
Nb 0.5206 0.4675 0.2430
W 0.0000 0.0000 0.5000
O 0.2091 0.2058 0.7107
O 0.2134 0.2115 0.2799
O 0.2963 0.6991 0.5057
O 0.3232 0.6810 0.9989
O 0.6768 0.3190 0.0011
O 0.7037 0.3009 0.4943
O 0.7866 0.7885 0.7201
O 0.7909 0.7942 0.2893